For CeGaCu4, a crystal structure in the Materials Project, relaxed with PBE gives the theoretical X-ray diffraction stick pattern in this record (Cu Kα (λ = 1.5418 Å)).

Most intense lines, 2θ = 10–90°, by angle:
- 2θ 29.5, intensity 37.4
- 2θ 34.2, intensity 30.4
- 2θ 39.7, intensity 33.7
- 2θ 41.0, intensity 100.0
- 2θ 44.6, intensity 25.2
- 2θ 61.3, intensity 23.4

Crystal structure
Lattice parameters (Å, degrees): 5.2383 5.2383 4.0602 90.00 90.00 120.00
Space group P-6m2 (No. 187)
Unique sites:
Ce 0.0000 0.0000 0.0000 x1
Ga 0.3333 0.6667 0.0000 x1
Cu 0.5018 0.0035 0.5000 x3
Cu 0.6667 0.3333 0.0000 x1

=====

For KNaTeH6O6, a crystal structure in the Materials Project, relaxed with PBE gives the theoretical X-ray diffraction stick pattern in this record (Cu Kα (λ = 1.5418 Å)).

Most intense lines, 2θ = 10–90°, by angle:
- 2θ 15.3, intensity 65.4
- 2θ 19.7, intensity 34.1
- 2θ 25.0, intensity 75.6
- 2θ 26.6, intensity 51.6
- 2θ 33.4, intensity 100.0
- 2θ 51.4, intensity 39.0

Crystal structure
Lattice parameters (Å, degrees): 6.6936 6.6936 9.0069 90.00 90.00 120.00
Space group P31c (No. 159)
Unique sites:
K 0.3333 0.6667 0.0000 x2
Na 0.3333 0.6667 0.4282 x2
Te 0.0000 0.0000 0.4806 x2
H 0.0279 0.5971 0.7071 x6
H 0.0601 0.3808 0.6972 x6
O 0.0044 0.4608 0.2632 x6
O 0.1011 0.8125 0.5738 x6

=====

For CaSiO3, a crystal structure in the Materials Project, relaxed with PBE gives the theoretical X-ray diffraction stick pattern in this record (Cu Kα (λ = 1.5418 Å)).

Most intense lines, 2θ = 10–90°, by angle:
- 2θ 17.4, intensity 31.6
- 2θ 27.9, intensity 34.0
- 2θ 28.9, intensity 45.4
- 2θ 29.1, intensity 100.0
- 2θ 30.5, intensity 88.7
- 2θ 33.8, intensity 53.4

Crystal structure
Lattice parameters (Å, degrees): 6.740 6.786 9.412 69.27 83.66 75.81
Space group P-1 (No. 2)
Unique sites:
Ca 0.078 0.416 0.337 x2
Ca 0.237 0.257 0.000 x2
Ca 0.412 0.762 0.349 x2
Si 0.039 0.024 0.700 x2
Si 0.270 0.772 0.984 x2
Si 0.387 0.665 0.705 x2
O 0.047 0.727 0.402 x2
O 0.129 0.598 0.061 x2
O 0.134 0.004 0.864 x2
O 0.144 0.107 0.263 x2
O 0.238 0.905 0.614 x2
O 0.264 0.474 0.742 x2
O 0.388 0.841 0.093 x2
O 0.419 0.378 0.406 x2
O 0.450 0.690 0.864 x2

=====

For ZrSiO, a crystal structure in the Materials Project, relaxed with PBE gives the theoretical X-ray diffraction stick pattern in this record (Cu Kα (λ = 1.5418 Å)).

Most intense lines, 2θ = 10–90°, by angle:
- 2θ 29.5, intensity 100.0
- 2θ 36.7, intensity 34.5
- 2θ 38.3, intensity 27.8
- 2θ 40.3, intensity 40.2
- 2θ 45.9, intensity 45.1
- 2θ 55.3, intensity 25.9

Crystal structure
Lattice parameters (Å, degrees): 3.320 3.320 7.352 90.00 90.00 90.00
Space group P4/nmm (No. 129, origin choice 2)
Unique sites:
Zr 0.250 0.250 0.192 x2
Si 0.250 0.750 0.500 x2
O 0.250 0.250 0.889 x2

=====

For PdRuBr4N5Cl, a crystal structure in the Materials Project, relaxed with PBE gives the theoretical X-ray diffraction stick pattern in this record (Cu Kα (λ = 1.5418 Å)).

Most intense lines, 2θ = 10–90°, by angle:
- 2θ 14.7, intensity 58.4
- 2θ 15.6, intensity 100.0
- 2θ 16.8, intensity 59.2
- 2θ 17.7, intensity 80.4
- 2θ 19.5, intensity 80.8
- 2θ 24.5, intensity 70.2

Crystal structure
Lattice parameters (Å, degrees): 14.171 9.115 11.361 90.00 90.00 90.00
Space group Pnma (No. 62)
Unique sites:
Pd 0.142 0.250 0.179 x4
Ru 0.038 0.250 0.828 x4
Br 0.005 0.750 0.962 x4
Br 0.136 0.525 0.206 x8
Br 0.187 0.750 0.714 x4
N 0.010 0.574 0.228 x8
N 0.153 0.250 0.799 x4
N 0.178 0.189 0.508 x8
Cl 0.062 0.750 0.572 x4

=====

For Cs2RbScBr6, a crystal structure in the Materials Project, relaxed with PBE gives the theoretical X-ray diffraction stick pattern in this record (Cu Kα (λ = 1.5418 Å)).

Most intense lines, 2θ = 10–90°, by angle:
- 2θ 21.1, intensity 39.9
- 2θ 25.9, intensity 95.4
- 2θ 30.0, intensity 100.0
- 2θ 43.0, intensity 67.2
- 2θ 50.9, intensity 34.7
- 2θ 70.8, intensity 23.9

Crystal structure
Lattice parameters (Å, degrees): 11.897 11.897 11.897 90.00 90.00 90.00
Space group Fm-3m (No. 225)
Unique sites:
Cs 0.250 0.250 0.250 x8
Rb 0.000 0.000 0.000 x4
Sc 0.000 0.000 0.500 x4
Br 0.000 0.000 0.276 x24

=====

For MnTeN2, a crystal structure in the Materials Project, relaxed with PBE gives the theoretical X-ray diffraction stick pattern in this record (Cu Kα (λ = 1.5418 Å)).

Most intense lines, 2θ = 10–90°, by angle:
- 2θ 19.6, intensity 53.0
- 2θ 21.7, intensity 100.0
- 2θ 30.1, intensity 74.1
- 2θ 32.9, intensity 54.2
- 2θ 36.2, intensity 48.8
- 2θ 48.3, intensity 53.8

Crystal structure
Lattice parameters (Å, degrees): 5.443 8.175 5.936 90.00 90.00 90.00
Space group Pna2_1 (No. 33)
Unique sites:
Mn 0.028 0.106 0.000 x4
Te 0.027 0.488 0.500 x4
N 0.001 0.000 0.251 x4
N 0.186 0.300 0.001 x4

=====

For BeRh, a crystal structure in the Materials Project, relaxed with PBE gives the theoretical X-ray diffraction stick pattern in this record (Cu Kα (λ = 1.5418 Å)).

Most intense lines, 2θ = 10–90°, by angle:
- 2θ 32.1, intensity 100.0
- 2θ 46.1, intensity 90.6
- 2θ 57.3, intensity 25.1
- 2θ 67.2, intensity 14.3
- 2θ 76.4, intensity 31.3
- 2θ 85.3, intensity 30.0

Crystal structure
Lattice parameters (Å, degrees): 2.786 2.786 2.786 90.00 90.00 90.00
Space group Pm-3m (No. 221)
Unique sites:
Be 0.000 0.000 0.000 x1
Rh 0.500 0.500 0.500 x1